This entry pairs a crystal structure of Pr3DyFe34 with its computed powder XRD pattern. Radiation: Cu Ka. Structure: a cell relaxed with GGA-PBE.
No peak broadening, texture or thermal motion is included.

Main lines, sorted by position (10° ≤ 2θ ≤ 90°):
Position (°2θ), d/Å, I/Imax, hkl
30.0, 2.983, 61, 3 1 0
36.4, 2.466, 64, 1 3 2
37.7, 2.385, 28, 2 2 -4
42.3, 2.136, 100, 0 4 0
42.6, 2.125, 80, 3 3 0
42.6, 2.120, 79, 0 0 6
43.4, 2.084, 70, 4 0 -4
47.8, 1.902, 23, 4 2 2
61.6, 1.505, 22, 5 3 -4
62.3, 1.491, 20, 4 4 -4
69.8, 1.347, 17, 2 6 -2
77.4, 1.233, 26, 2 6 4

Unit cell a=9.699 b=8.541 c=12.893 alpha=90.00 beta=99.48 gamma=90.00
Space group Cm (No. 8)
Asymmetric unit:
Pr 0.000 0.000 0.000 x2
Pr 0.001 0.000 0.500 x2
Pr 0.319 0.000 0.841 x2
Dy 0.321 0.000 0.340 x2
Fe 0.001 0.000 0.748 x2
Fe 0.003 0.000 0.249 x2
Fe 0.014 0.355 0.524 x4
Fe 0.016 0.355 0.027 x4
Fe 0.063 0.500 0.220 x2
Fe 0.064 0.500 0.718 x2
Fe 0.066 0.252 0.341 x4
Fe 0.066 0.252 0.841 x4
Fe 0.159 0.500 0.420 x2
Fe 0.160 0.211 0.670 x4
Fe 0.160 0.500 0.921 x2
Fe 0.161 0.208 0.172 x4
Fe 0.253 0.252 0.001 x4
Fe 0.254 0.250 0.498 x4
Fe 0.255 0.500 0.622 x2
Fe 0.256 0.500 0.123 x2
Fe 0.304 0.355 0.815 x4
Fe 0.305 0.353 0.316 x4
Fe 0.318 0.000 0.095 x2
Fe 0.318 0.000 0.591 x2
Fe 0.410 0.249 0.172 x4
Fe 0.410 0.250 0.670 x4